For Cd4In4Bi, DFT lattice parameters and positions (GGA-PBE) gives the simulated powder diffraction line list in this record (Cu Kα).
Kinematic intensities with the Lorentz-polarization factor, no thermal factor.

Top 12 peaks for 10 to 90 degrees two-theta, in order of falling intensity:
- 2θ 33.04, I 100, (3 0 1)
- 2θ 39.89, I 30, (3 3 0)
- 2θ 54.14, I 24, (3 3 2)
- 2θ 68.11, I 23, (6 3 1)
- 2θ 35.07, I 22, (0 0 2)
- 2θ 61.62, I 16, (3 0 3)
- 2θ 89.44, I 12, (6 3 3)
- 2θ 69.32, I 11, (6 0 2)
- 2θ 57.68, I 10, (6 0 0)
- 2θ 87.63, I 6, (3 3 4)
- 2θ 27.13, I 3, (2 1 1)
- 2θ 86.03, I 3, (6 6 0)

Atomic structure:
```
data_Cd4In4Bi
_chemical_formula_sum 'Cd8 In8 Bi2'
_cell_length_a 9.5886
_cell_length_b 9.5886
_cell_length_c 5.1181
_cell_angle_alpha 90.00
_cell_angle_beta 90.00
_cell_angle_gamma 90.00
_space_group_name_H-M_alt 'I 4/m m m'
_space_group_IT_number 139
_space_group_name_Hall '-I 4 2'
loop_
_atom_site_label
_atom_site_fract_x
_atom_site_fract_y
_atom_site_fract_z
_atom_site_occupancy
Cd1 0.0000 0.3435 0.0000 1
In1 0.1709 0.1709 0.5000 1
Bi1 0.0000 0.0000 0.0000 1
```

---

For BeGaPd2, DFT lattice parameters and positions (GGA-PBE) gives the simulated powder diffraction line list in this record (Cu Kα).
Kinematic intensities with the Lorentz-polarization factor, no thermal factor.

Top 12 peaks for 10 to 90 degrees two-theta, in order of falling intensity:
- 2θ 41.46, I 100, (0 1 5)
- 2θ 37.16, I 87, (1 0 4)
- 2θ 28.83, I 80, (1 0 1)
- 2θ 49.90, I 69, (1 1 0)
- 2θ 77.49, I 25, (1 1 9)
- 2θ 66.83, I 24, (2 0 5)
- 2θ 87.84, I 23, (1 2 5)
- 2θ 63.83, I 17, (0 2 4)
- 2θ 30.65, I 16, (0 1 2)
- 2θ 85.12, I 15, (2 1 4)
- 2θ 69.30, I 12, (1 0 10)
- 2θ 55.08, I 12, (0 0 9)

Atomic structure:
```
data_BeGaPd2
_chemical_formula_sum 'Be3 Ga3 Pd6'
_cell_length_a 3.6551
_cell_length_b 3.6551
_cell_length_c 15.0060
_cell_angle_alpha 90.00
_cell_angle_beta 90.00
_cell_angle_gamma 120.00
_space_group_name_H-M_alt 'R 3 m'
_space_group_IT_number 160
_space_group_name_Hall 'R 3 -2"'
loop_
_atom_site_label
_atom_site_fract_x
_atom_site_fract_y
_atom_site_fract_z
_atom_site_occupancy
Be1 0.0000 0.0000 0.0000 1
Ga1 0.0000 0.0000 0.8288 1
Pd1 0.0000 0.0000 0.3968 1
Pd2 0.0000 0.0000 0.5980 1
```

---

For Dy2Co2Sn, DFT lattice parameters and positions (GGA-PBE) gives the simulated powder diffraction line list in this record (Cu Kα).
Kinematic intensities with the Lorentz-polarization factor, no thermal factor.

Top 12 peaks for 10 to 90 degrees two-theta, in order of falling intensity:
- 2θ 38.46, I 100, (1 1 -3)
- 2θ 34.95, I 96, (0 2 1)
- 2θ 32.74, I 95, (3 1 -1)
- 2θ 34.14, I 72, (2 0 2)
- 2θ 41.58, I 51, (2 2 1)
- 2θ 38.61, I 49, (4 0 0)
- 2θ 36.52, I 42, (3 1 -2)
- 2θ 37.75, I 42, (3 1 1)
- 2θ 33.18, I 28, (3 1 0)
- 2θ 67.83, I 26, (6 2 -1)
- 2θ 28.43, I 25, (1 1 -2)
- 2θ 40.14, I 25, (4 0 -2)

Atomic structure:
```
data_Dy2Co2Sn
_chemical_formula_sum 'Dy8 Co8 Sn4'
_cell_length_a 9.6208
_cell_length_b 5.4611
_cell_length_c 7.7731
_cell_angle_alpha 90.00
_cell_angle_beta 104.40
_cell_angle_gamma 90.00
_space_group_name_H-M_alt 'C 1 2/c 1'
_space_group_IT_number 15
loop_
_space_group_symop_operation_xyz
'x,y,z'
'-x,-y,-z'
'-x,y,-z+1/2'
'x,-y,z+1/2'
'x+1/2,y+1/2,z'
'-x+1/2,-y+1/2,-z'
'-x+1/2,y+1/2,-z+1/2'
'x+1/2,-y+1/2,z+1/2'
loop_
_atom_site_label
_atom_site_fract_x
_atom_site_fract_y
_atom_site_fract_z
_atom_site_occupancy
Dy1 0.1475 0.1494 0.1476 1
Co1 0.1486 0.3495 0.5020 1
Sn1 0.0000 0.3552 0.7500 1
```

---

For ErTm12Sc6, DFT lattice parameters and positions (GGA-PBE) gives the simulated powder diffraction line list in this record (Cu Kα).
Kinematic intensities with the Lorentz-polarization factor, no thermal factor.

Top 12 peaks for 10 to 90 degrees two-theta, in order of falling intensity:
- 2θ 32.98, I 100, (2 0 3)
- 2θ 33.91, I 91, (0 1 3)
- 2θ 33.23, I 60, (2 -1 0)
- 2θ 31.02, I 35, (1 3 1)
- 2θ 33.75, I 23, (2 3 2)
- 2θ 60.00, I 19, (2 1 6)
- 2θ 35.65, I 17, (0 3 -1)
- 2θ 44.65, I 17, (1 -3 2)
- 2θ 66.41, I 16, (1 6 0)
- 2θ 50.25, I 15, (3 1 -2)
- 2θ 24.03, I 12, (2 1 0)
- 2θ 58.59, I 12, (4 -1 3)

Atomic structure:
```
data_ErTm12Sc6
_chemical_formula_sum 'Er1 Tm12 Sc6'
_cell_length_a 8.1227
_cell_length_b 8.8608
_cell_length_c 9.2611
_cell_angle_alpha 79.79
_cell_angle_beta 65.77
_cell_angle_gamma 62.86
_space_group_name_H-M_alt 'P -1'
_space_group_IT_number 2
loop_
_space_group_symop_operation_xyz
'x,y,z'
'-x,-y,-z'
loop_
_atom_site_label
_atom_site_fract_x
_atom_site_fract_y
_atom_site_fract_z
_atom_site_occupancy
Er1 0.0000 0.0000 0.0000 1
Tm1 0.0654 0.0650 0.6147 1
Tm2 0.1831 0.3778 0.8715 1
Tm3 0.2222 0.3753 0.5094 1
Tm4 0.2503 0.5550 0.1450 1
Tm5 0.4208 0.8486 0.0566 1
Tm6 0.4742 0.0067 0.6889 1
Sc1 0.0881 0.2422 0.2498 1
Sc2 0.3376 0.6879 0.7685 1
Sc3 0.3743 0.6766 0.4196 1
```